1.
This entry pairs a crystal structure of RbV3Se2O12 with its calculated PXRD pattern. Radiation: copper Kα. Structure: a cell relaxed with PBE+U.
Peak positions follow from Bragg's law for the DFT cell and can differ from measured ones.

Atomic structure:
Cell lengths 7.163, 7.163, 12.085 Å; angles 90.00, 90.00, 120.00 degrees
Sites, in units of the cell vectors:
Rb 0.333 0.667 0.000
Rb 0.667 0.333 0.500
V 0.126 0.333 0.666
V 0.206 0.874 0.666
V 0.333 0.206 0.166
V 0.667 0.794 0.666
V 0.794 0.126 0.166
V 0.874 0.667 0.166
Se 0.000 0.000 0.382
Se 0.000 0.000 0.882
Se 0.333 0.667 0.448
Se 0.667 0.333 0.948
O 0.083 0.542 0.690
O 0.124 0.869 0.821
O 0.125 0.874 0.136
O 0.126 0.251 0.136
O 0.131 0.254 0.821
O 0.201 0.789 0.507
O 0.211 0.412 0.507
O 0.251 0.125 0.636
O 0.254 0.124 0.321
O 0.412 0.201 0.007
O 0.458 0.541 0.690
O 0.459 0.917 0.690
O 0.541 0.083 0.190
O 0.542 0.459 0.190
O 0.588 0.799 0.507
O 0.746 0.876 0.821
O 0.749 0.875 0.136
O 0.789 0.588 0.007
O 0.799 0.211 0.007
O 0.869 0.746 0.321
O 0.874 0.749 0.636
O 0.875 0.126 0.636
O 0.876 0.131 0.321
O 0.917 0.458 0.190

Main lines, most intense first (2θ = 10–90°):
2theta	d (Å)	Rel. int.
28.98	3.081	100
20.52	4.328	35
32.98	2.716	34
29.74	3.004	30
24.86	3.581	28
51.00	1.791	26



2.
This entry pairs a crystal structure of RbV2SeO8 with its calculated PXRD pattern. Radiation: copper Kα. Structure: a cell relaxed with PBE+U.
Peak positions follow from Bragg's law for the DFT cell and can differ from measured ones.

Atomic structure:
Cell lengths 5.204, 5.204, 8.237 Å; angles 93.64, 93.64, 65.17 degrees
Sites, in units of the cell vectors:
Rb 0.000 0.000 0.000
V 0.371 0.371 0.687
V 0.629 0.629 0.313
Se 0.000 0.000 0.500
O 0.218 0.218 0.536
O 0.222 0.750 0.667
O 0.250 0.778 0.333
O 0.316 0.316 0.874
O 0.684 0.684 0.126
O 0.750 0.222 0.667
O 0.778 0.250 0.333
O 0.782 0.782 0.464

Main lines, most intense first (2θ = 10–90°):
2theta	d (Å)	Rel. int.
28.22	3.162	100
34.69	2.586	61
20.31	4.372	54
10.77	8.214	49
29.41	3.037	47
31.93	2.803	40



3.
This entry pairs a crystal structure of RbVSeO5 with its calculated PXRD pattern. Radiation: copper Kα. Structure: a cell relaxed with PBE+U.
Peak positions follow from Bragg's law for the DFT cell and can differ from measured ones.

Atomic structure:
Cell lengths 7.970, 7.730, 9.549 Å; angles 90.00, 95.18, 90.00 degrees
Sites, in units of the cell vectors:
Rb 0.088 0.000 0.141
Rb 0.392 0.778 0.595
Rb 0.608 0.278 0.405
Rb 0.912 0.500 0.859
V 0.073 0.460 0.262
V 0.423 0.336 0.763
V 0.577 0.836 0.237
V 0.927 0.960 0.738
Se 0.113 0.258 0.548
Se 0.376 0.539 0.072
Se 0.624 0.039 0.928
Se 0.887 0.758 0.452
O 0.025 0.700 0.330
O 0.025 0.888 0.559
O 0.068 0.866 0.850
O 0.183 0.608 0.126
O 0.222 0.423 0.644
O 0.241 0.329 0.295
O 0.312 0.496 0.898
O 0.407 0.140 0.685
O 0.424 0.944 0.305
O 0.472 0.742 0.056
O 0.528 0.242 0.944
O 0.576 0.444 0.695
O 0.593 0.640 0.315
O 0.688 0.996 0.102
O 0.759 0.829 0.705
O 0.778 0.923 0.356
O 0.817 0.108 0.874
O 0.932 0.366 0.150
O 0.975 0.200 0.670
O 0.975 0.388 0.441

Main lines, most intense first (2θ = 10–90°):
2theta	d (Å)	Rel. int.
24.87	3.581	100
27.65	3.226	66
23.89	3.725	56
26.21	3.400	43
41.76	2.163	40
31.63	2.829	38



4.
This entry pairs a crystal structure of Rb2W3SeO12 with its calculated PXRD pattern. Radiation: copper Kα. Structure: a cell relaxed with PBE+U.
Peak positions follow from Bragg's law for the DFT cell and can differ from measured ones.

Atomic structure:
Cell lengths 7.371, 7.371, 12.582 Å; angles 90.00, 90.00, 120.00 degrees
Sites, in units of the cell vectors:
Rb 0.333 0.667 0.000
Rb 0.333 0.667 0.385
Rb 0.667 0.333 0.500
Rb 0.667 0.333 0.885
W 0.169 0.338 0.711
W 0.169 0.831 0.711
W 0.338 0.169 0.211
W 0.662 0.831 0.711
W 0.831 0.169 0.211
W 0.831 0.662 0.211
Se 0.000 0.000 0.438
Se 0.000 0.000 0.938
O 0.088 0.544 0.755
O 0.124 0.248 0.879
O 0.124 0.876 0.879
O 0.125 0.250 0.201
O 0.125 0.875 0.201
O 0.200 0.399 0.574
O 0.200 0.800 0.574
O 0.248 0.124 0.379
O 0.250 0.125 0.701
O 0.399 0.200 0.074
O 0.456 0.544 0.755
O 0.456 0.912 0.755
O 0.544 0.088 0.255
O 0.544 0.456 0.255
O 0.601 0.800 0.574
O 0.750 0.875 0.201
O 0.752 0.876 0.879
O 0.800 0.200 0.074
O 0.800 0.601 0.074
O 0.875 0.125 0.701
O 0.875 0.750 0.701
O 0.876 0.124 0.379
O 0.876 0.752 0.379
O 0.912 0.456 0.255

Main lines, most intense first (2θ = 10–90°):
2theta	d (Å)	Rel. int.
28.86	3.094	100
28.06	3.180	61
14.08	6.291	54
25.41	3.505	36
45.92	1.976	33
15.57	5.693	31